(1)
LaPm2HoTm: theoretical PXRD pattern (CuKα), based on a structure optimized by DFT (PBE).
Kinematic intensities with the Lorentz-polarization factor, no thermal factor.

Cell and atoms:
```
LaPm2HoTm
1.0
3.673 0.000 0.000
0.000 5.628 0.000
-0.016 0.000 8.612
La Pm Ho Tm
1 2 1 1
direct
0.000 0.000 0.000
0.001 0.500 0.322
0.999 0.500 0.678
0.500 0.500 0.000
0.500 0.000 0.500
```

Top 6 peaks for 2θ = 10–90°, sorted by position:
2theta	intensity
26.1	23
30.9	100
31.8	38
35.1	23
56.1	19
61.7	19

=====

(2)
Er8ScIn2: theoretical PXRD pattern (CuKα), based on a structure optimized by DFT (PBE).
Kinematic intensities with the Lorentz-polarization factor, no thermal factor.

Cell and atoms:
```
Er8ScIn2
1.0
4.370 -7.494 0.000
4.370 7.494 0.000
-2.335 0.000 4.976
Er Sc In
8 1 2
direct
0.096 0.323 0.622
0.211 0.789 0.000
0.323 0.096 0.622
0.393 0.393 0.201
0.607 0.607 0.799
0.677 0.904 0.378
0.789 0.211 0.000
0.904 0.677 0.378
0.000 0.000 0.000
0.306 0.694 0.500
0.694 0.306 0.500
```

Top 6 peaks for 2θ = 10–90°, sorted by position:
2theta	intensity
29.8	54
30.7	62
31.5	90
32.9	60
33.4	70
34.3	100

=====

(3)
PuThHgPb: theoretical PXRD pattern (CuKα), based on a structure optimized by DFT (PBE).
Kinematic intensities with the Lorentz-polarization factor, no thermal factor.

Cell and atoms:
```
PuThHgPb
1.0
4.118 0.000 0.000
0.000 4.118 0.000
0.000 0.000 6.657
Pu Th Hg Pb
1 1 1 1
direct
0.000 0.000 0.000
0.000 0.000 0.504
0.500 0.500 0.248
0.500 0.500 0.754
```

Top 6 peaks for 2θ = 10–90°, sorted by position:
2theta	intensity
30.7	68
34.7	100
44.0	26
57.2	49
64.5	17
72.6	12